Record 1
For CdHgTeO, a crystal structure in OQMD, relaxed with PBE gives the calculated PXRD pattern in this record (Cu Ka).
Kinematic intensities with the Lorentz-polarization factor, no thermal factor.

Cell and atoms:
Lattice parameters (Å, degrees): 4.409 12.680 7.049 90.00 90.00 90.00
Atoms (fractional coordinates):
1 Cd 0.245 0.250 0.000
2 Cd 0.245 0.250 0.500
3 Cd 0.755 0.750 0.000
4 Cd 0.755 0.750 0.500
5 Hg 0.259 0.549 0.250
6 Hg 0.259 0.951 0.750
7 Hg 0.741 0.049 0.250
8 Hg 0.741 0.451 0.750
9 Te 0.111 0.617 0.750
10 Te 0.111 0.883 0.250
11 Te 0.889 0.117 0.750
12 Te 0.889 0.383 0.250
13 O 0.473 0.184 0.250
14 O 0.473 0.316 0.750
15 O 0.527 0.684 0.250
16 O 0.527 0.816 0.750

Most intense lines, 5 to 70 degrees two-theta, in order of rising 2θ:
Position (°2θ), Rel. int.
24.83, 43
25.27, 32
28.99, 69
29.27, 100
31.96, 40
33.31, 63
48.83, 32
50.94, 30

---

Record 2
For BaSrCdSbAs, a crystal structure in OQMD, relaxed with PBE gives the calculated PXRD pattern in this record (Cu Ka).
Kinematic intensities with the Lorentz-polarization factor, no thermal factor.

Cell and atoms:
Lattice parameters (Å, degrees): 9.174 9.174 8.025 90.00 90.00 150.28
Atoms (fractional coordinates):
1 Ba 0.215 0.785 0.500
2 Ba 0.785 0.215 0.000
3 Sr 0.033 0.967 0.136
4 Sr 0.967 0.033 0.636
5 Cd 0.407 0.593 0.299
6 Cd 0.593 0.407 0.799
7 Sb 0.432 0.568 0.926
8 Sb 0.568 0.432 0.426
9 As 0.166 0.834 0.893
10 As 0.834 0.166 0.393

Most intense lines, 5 to 70 degrees two-theta, in order of rising 2θ:
Position (°2θ), Rel. int.
22.16, 28
26.64, 100
29.69, 56
30.04, 28
31.59, 90
33.02, 53
38.25, 53
41.74, 30

---

Record 3
For Zn2Sn2As3N, a crystal structure in OQMD, relaxed with PBE gives the calculated PXRD pattern in this record (Cu Ka).
Kinematic intensities with the Lorentz-polarization factor, no thermal factor.

Cell and atoms:
Lattice parameters (Å, degrees): 6.859 6.859 5.636 113.74 113.74 49.00
Atoms (fractional coordinates):
1 Zn 0.106 0.106 0.311
2 Zn 0.894 0.894 0.689
3 Sn 0.457 0.309 0.105
4 Sn 0.691 0.543 0.895
5 As 0.042 0.461 0.716
6 As 0.273 0.727 0.500
7 As 0.539 0.958 0.284
8 N 0.788 0.212 0.000

Most intense lines, 5 to 70 degrees two-theta, in order of rising 2θ:
Position (°2θ), Rel. int.
27.29, 100
27.48, 88
36.25, 17
36.55, 16
45.30, 36
45.46, 59
45.93, 20
54.09, 21

---

Record 4
For Be22Re, a crystal structure in OQMD, relaxed with PBE gives the calculated PXRD pattern in this record (Cu Ka).
Kinematic intensities with the Lorentz-polarization factor, no thermal factor.

Cell and atoms:
Lattice parameters (Å, degrees): 8.129 8.129 8.129 60.00 60.00 60.00
Atoms (fractional coordinates):
1 Be 0.000 0.000 0.000
2 Be 0.000 0.000 0.500
3 Be 0.000 0.500 0.000
4 Be 0.000 0.500 0.500
5 Be 0.011 0.011 0.739
6 Be 0.011 0.739 0.011
7 Be 0.011 0.739 0.739
8 Be 0.176 0.176 0.444
9 Be 0.176 0.176 0.705
10 Be 0.176 0.444 0.176
11 Be 0.176 0.444 0.705
12 Be 0.176 0.705 0.176
13 Be 0.176 0.705 0.444
14 Be 0.261 0.261 0.989
15 Be 0.261 0.989 0.261
16 Be 0.261 0.989 0.989
17 Be 0.295 0.556 0.824
18 Be 0.295 0.824 0.556
19 Be 0.295 0.824 0.824
20 Be 0.444 0.176 0.176
21 Be 0.444 0.176 0.705
22 Be 0.444 0.705 0.176
23 Be 0.500 0.000 0.000
24 Be 0.500 0.000 0.500
25 Be 0.500 0.500 0.000
26 Be 0.500 0.500 0.500
27 Be 0.556 0.295 0.824
28 Be 0.556 0.824 0.295
29 Be 0.556 0.824 0.824
30 Be 0.705 0.176 0.176
31 Be 0.705 0.176 0.444
32 Be 0.705 0.444 0.176
33 Be 0.739 0.011 0.011
34 Be 0.739 0.011 0.739
35 Be 0.739 0.739 0.011
36 Be 0.824 0.295 0.556
37 Be 0.824 0.295 0.824
38 Be 0.824 0.556 0.295
39 Be 0.824 0.556 0.824
40 Be 0.824 0.824 0.295
41 Be 0.824 0.824 0.556
42 Be 0.989 0.261 0.261
43 Be 0.989 0.261 0.989
44 Be 0.989 0.989 0.261
45 Re 0.375 0.375 0.375
46 Re 0.625 0.625 0.625

Most intense lines, 5 to 70 degrees two-theta, in order of rising 2θ:
Position (°2θ), Rel. int.
13.34, 86
21.87, 100
25.70, 71
33.99, 33
38.36, 47
40.79, 25
46.75, 42
50.19, 30

---

Record 5
For KZn4As3O12, a crystal structure in OQMD, relaxed with PBE gives the calculated PXRD pattern in this record (Cu Ka).
Kinematic intensities with the Lorentz-polarization factor, no thermal factor.

Cell and atoms:
Lattice parameters (Å, degrees): 6.528 6.528 6.528 108.07 108.07 108.07
Atoms (fractional coordinates):
1 K 0.000 0.000 0.000
2 Zn 0.006 0.524 0.141
3 Zn 0.141 0.006 0.524
4 Zn 0.494 0.494 0.494
5 Zn 0.524 0.141 0.006
6 As 0.156 0.563 0.702
7 As 0.563 0.702 0.156
8 As 0.702 0.156 0.563
9 O 0.038 0.239 0.672
10 O 0.147 0.456 0.408
11 O 0.218 0.868 0.747
12 O 0.239 0.672 0.038
13 O 0.408 0.147 0.456
14 O 0.456 0.408 0.147
15 O 0.479 0.618 0.830
16 O 0.618 0.830 0.479
17 O 0.672 0.038 0.239
18 O 0.747 0.218 0.868
19 O 0.830 0.479 0.618
20 O 0.868 0.747 0.218

Most intense lines, 5 to 70 degrees two-theta, in order of rising 2θ:
Position (°2θ), Rel. int.
28.82, 100
32.30, 71
33.94, 32
36.61, 33
37.72, 50
44.15, 42
63.49, 40
64.93, 40

---

Record 6
For DyYBPb, a crystal structure in OQMD, relaxed with PBE gives the calculated PXRD pattern in this record (Cu Ka).
Kinematic intensities with the Lorentz-polarization factor, no thermal factor.

Cell and atoms:
Lattice parameters (Å, degrees): 3.697 3.697 16.700 90.00 90.00 120.00
Atoms (fractional coordinates):
1 Dy 0.000 0.000 0.161
2 Dy 0.000 0.000 0.839
3 Y 0.333 0.667 0.340
4 Y 0.333 0.667 0.660
5 B 0.667 0.333 0.250
6 B 0.667 0.333 0.750
7 Pb 0.000 0.000 0.500
8 Pb 0.333 0.667 0.000

Most intense lines, 5 to 70 degrees two-theta, in order of rising 2θ:
Position (°2θ), Rel. int.
5.29, 6
10.59, 7
27.87, 20
32.24, 100
43.06, 14
49.30, 17
57.40, 15
60.12, 32